(1)
Diffraction record for Li2HoSbO4. The powder diffractogram is computed, not measured: it uses DFT lattice parameters and positions (PBE) and Cu Kα (λ = 1.5418 Å).
Kinematic intensities with the Lorentz-polarization factor, no thermal factor.

```
data_Li2HoSbO4
_chemical_formula_sum 'Li4 Ho2 Sb2 O8'
_cell_length_a 10.365
_cell_length_b 4.223
_cell_length_c 5.429
_cell_angle_alpha 90.00
_cell_angle_beta 116.10
_cell_angle_gamma 90.00
_space_group_name_H-M_alt 'C 1 m 1'
_space_group_IT_number 8
loop_
_space_group_symop_operation_xyz
'x,y,z'
'x,-y,z'
'x+1/2,y+1/2,z'
'x+1/2,-y+1/2,z'
loop_
_atom_site_label
_atom_site_fract_x
_atom_site_fract_y
_atom_site_fract_z
_atom_site_occupancy
Li1 0.000 0.000 0.000 1
Li2 0.168 0.500 0.142 1
Ho1 0.448 0.000 0.474 1
Sb1 0.233 0.000 0.799 1
O1 0.189 0.500 0.797 1
O2 0.216 0.000 0.157 1
O3 0.470 0.000 0.095 1
O4 0.485 0.500 0.611 1
```

Top 10 peaks for 2θ = 10–90°, in order of rising 2θ:
| 2θ (°) | I/Imax |
| --- | --- |
| 18.19 | 31 |
| 19.74 | 70 |
| 23.13 | 100 |
| 31.89 | 34 |
| 32.16 | 42 |
| 33.14 | 41 |
| 34.00 | 42 |
| 38.69 | 28 |
| 40.03 | 27 |
| 42.83 | 26 |

(2)
Diffraction record for LiHo2Ta2O8. The powder diffractogram is computed, not measured: it uses DFT lattice parameters and positions (PBE) and Cu Kα (λ = 1.5418 Å).
Kinematic intensities with the Lorentz-polarization factor, no thermal factor.

```
data_LiHo2Ta2O8
_chemical_formula_sum 'Li2 Ho4 Ta4 O16'
_cell_length_a 6.827
_cell_length_b 10.993
_cell_length_c 5.257
_cell_angle_alpha 90.00
_cell_angle_beta 129.15
_cell_angle_gamma 90.00
_space_group_name_H-M_alt 'C 1 2 1'
_space_group_IT_number 5
loop_
_space_group_symop_operation_xyz
'x,y,z'
'-x,y,-z'
'x+1/2,y+1/2,z'
'-x+1/2,y+1/2,-z'
loop_
_atom_site_label
_atom_site_fract_x
_atom_site_fract_y
_atom_site_fract_z
_atom_site_occupancy
Li1 0.000 0.000 0.000 1
Ho1 0.000 0.693 0.000 1
Ho2 0.000 0.963 0.500 1
Ta1 0.000 0.249 0.000 1
Ta2 0.000 0.425 0.500 1
O1 0.136 0.123 0.894 1
O2 0.142 0.542 0.386 1
O3 0.241 0.865 0.019 1
O4 0.243 0.303 0.472 1
```

Top 10 peaks for 2θ = 10–90°, in order of rising 2θ:
| 2θ (°) | I/Imax |
| --- | --- |
| 27.24 | 100 |
| 30.84 | 73 |
| 32.58 | 15 |
| 33.87 | 26 |
| 34.67 | 20 |
| 44.45 | 19 |
| 47.70 | 18 |
| 48.31 | 19 |
| 54.53 | 16 |
| 55.63 | 16 |

(3)
Diffraction record for LiHo2Ta2O8. The powder diffractogram is computed, not measured: it uses DFT lattice parameters and positions (PBE) and Cu Kα (λ = 1.5418 Å).
Kinematic intensities with the Lorentz-polarization factor, no thermal factor.

```
data_LiHo2Ta2O8
_chemical_formula_sum 'Li2 Ho4 Ta4 O16'
_cell_length_a 6.866
_cell_length_b 11.219
_cell_length_c 5.169
_cell_angle_alpha 90.00
_cell_angle_beta 128.46
_cell_angle_gamma 90.00
_space_group_name_H-M_alt 'C 1 2 1'
_space_group_IT_number 5
loop_
_space_group_symop_operation_xyz
'x,y,z'
'-x,y,-z'
'x+1/2,y+1/2,z'
'-x+1/2,y+1/2,-z'
loop_
_atom_site_label
_atom_site_fract_x
_atom_site_fract_y
_atom_site_fract_z
_atom_site_occupancy
Li1 0.000 0.000 0.000 1
Ho1 0.000 0.493 0.500 1
Ho2 0.000 0.754 0.000 1
Ta1 0.000 0.046 0.500 1
Ta2 0.000 0.235 0.000 1
O1 0.138 0.924 0.387 1
O2 0.145 0.342 0.877 1
O3 0.237 0.095 0.986 1
O4 0.237 0.161 0.482 1
```

Top 10 peaks for 2θ = 10–90°, in order of rising 2θ:
| 2θ (°) | I/Imax |
| --- | --- |
| 27.17 | 100 |
| 30.56 | 75 |
| 31.91 | 19 |
| 33.33 | 26 |
| 35.21 | 19 |
| 44.78 | 18 |
| 46.81 | 21 |
| 48.24 | 21 |
| 53.89 | 17 |
| 56.03 | 16 |